Calculated powder X-ray diffraction pattern
Compound: ZnH8C2N4Cl2O2
Radiation: Cu Kα (λ = 1.5418 Å)
Structure: a GGA-PBE-relaxed structure
Peak positions follow from Bragg's law for the DFT cell and can differ from measured ones.

Atomic structure:
```
ZnH8C2N4Cl2O2
1.0
6.4023 0.0000 0.0000
2.8440 6.3572 0.0000
2.9656 -0.8686 11.7425
Zn H C N Cl O
2 16 4 8 4 4
Direct
0.0201 0.1708 0.2479 Zn
0.9799 0.8292 0.7521 Zn
0.1837 0.4518 0.9275 H
0.1852 0.3651 0.7236 H
0.2220 0.7420 0.4281 H
0.2620 0.4792 0.4088 H
0.3356 0.8415 0.9537 H
0.4549 0.1720 0.6480 H
0.4877 0.1818 0.1839 H
0.4951 0.3281 0.9042 H
0.5049 0.6719 0.0958 H
0.5123 0.8182 0.8161 H
0.5451 0.8280 0.3520 H
0.6644 0.1585 0.0463 H
0.7380 0.5208 0.5912 H
0.7780 0.2580 0.5719 H
0.8148 0.6349 0.2764 H
0.8163 0.5482 0.0725 H
0.3052 0.3116 0.0638 C
0.4435 0.4707 0.6585 C
0.5565 0.5293 0.3415 C
0.6948 0.6884 0.9362 C
0.3292 0.5900 0.3989 N
0.3302 0.3723 0.9573 N
0.3491 0.3275 0.6717 N
0.4993 0.8039 0.9008 N
0.5007 0.1961 0.0992 N
0.6509 0.6725 0.3283 N
0.6698 0.6277 0.0427 N
0.6708 0.4100 0.6011 N
0.0796 0.8702 0.1580 Cl
0.1993 0.1497 0.3899 Cl
0.8007 0.8503 0.6101 Cl
0.9204 0.1298 0.8420 Cl
0.0966 0.3630 0.1300 O
0.3251 0.6632 0.6984 O
0.6749 0.3368 0.3016 O
0.9034 0.6370 0.8700 O
```

Peak list (10 most intense, 10° ≤ 2θ ≤ 80°, by angle)
15.09 deg, I 56
15.39 deg, I 53
15.66 deg, I 37
16.37 deg, I 40
16.53 deg, I 79
18.84 deg, I 41
19.04 deg, I 45
24.14 deg, I 100
25.06 deg, I 43
31.51 deg, I 36

Calculated powder X-ray diffraction pattern
Compound: H6PbCN3Cl3
Radiation: Cu Kα (λ = 1.5418 Å)
Structure: a GGA-PBE-relaxed structure
Peak positions follow from Bragg's law for the DFT cell and can differ from measured ones.

Atomic structure:
```
H6PbCN3Cl3
1.0
8.7006 0.0000 0.0000
0.0000 7.7639 0.0000
-8.7008 0.0000 15.1583
H Pb C N Cl
24 4 4 12 12
Direct
0.0532 0.2086 0.2066 H
0.0532 0.2914 0.7066 H
0.0578 0.2284 0.0715 H
0.0578 0.2716 0.5715 H
0.1402 0.7369 0.5277 H
0.1402 0.7631 0.0277 H
0.1423 0.7494 0.2928 H
0.1423 0.7506 0.7928 H
0.4117 0.7197 0.0275 H
0.4117 0.7803 0.5275 H
0.4157 0.7410 0.9298 H
0.4157 0.7590 0.4298 H
0.5843 0.2410 0.5702 H
0.5843 0.2590 0.0702 H
0.5883 0.2197 0.4725 H
0.5883 0.2803 0.9725 H
0.8577 0.2494 0.2072 H
0.8577 0.2506 0.7072 H
0.8598 0.2369 0.9723 H
0.8598 0.2631 0.4723 H
0.9422 0.7284 0.4285 H
0.9422 0.7716 0.9285 H
0.9468 0.7086 0.2934 H
0.9468 0.7914 0.7934 H
0.4858 0.0216 0.7502 Pb
0.4858 0.4784 0.2502 Pb
0.5142 0.5216 0.7498 Pb
0.5142 0.9784 0.2498 Pb
0.1666 0.7436 0.4166 C
0.1666 0.7564 0.9166 C
0.8334 0.2436 0.0834 C
0.8334 0.2564 0.5834 C
0.0771 0.7359 0.4604 N
0.0771 0.7641 0.9604 N
0.0801 0.7302 0.3285 N
0.0801 0.7698 0.8285 N
0.3426 0.7355 0.9608 N
0.3426 0.7645 0.4608 N
0.6574 0.2355 0.5392 N
0.6574 0.2645 0.0392 N
0.9199 0.2302 0.1715 N
0.9199 0.2698 0.6715 N
0.9229 0.2359 0.0396 N
0.9229 0.2641 0.5396 N
0.2114 0.7369 0.6765 Cl
0.2114 0.7631 0.1765 Cl
0.3570 0.1902 0.3229 Cl
0.3569 0.2297 0.1060 Cl
0.3569 0.2703 0.6060 Cl
0.3570 0.3098 0.8229 Cl
0.6430 0.6902 0.1771 Cl
0.6431 0.7297 0.3940 Cl
0.6431 0.7703 0.8940 Cl
0.6430 0.8098 0.6771 Cl
0.7886 0.2369 0.8235 Cl
0.7886 0.2631 0.3235 Cl
```

Peak list (10 most intense, 10° ≤ 2θ ≤ 80°, by angle)
11.71 deg, I 100
20.35 deg, I 24
23.58 deg, I 8
25.80 deg, I 26
26.23 deg, I 8
30.83 deg, I 19
31.27 deg, I 9
33.03 deg, I 8
33.11 deg, I 14
39.12 deg, I 17

Calculated powder X-ray diffraction pattern
Compound: H8PdC2NCl3
Radiation: Cu Kα (λ = 1.5418 Å)
Structure: a GGA-PBE-relaxed structure
Peak positions follow from Bragg's law for the DFT cell and can differ from measured ones.

Atomic structure:
```
H8PdC2NCl3
1.0
4.0677 -6.7477 0.0000
4.0677 6.7477 0.0000
-0.3383 0.0000 7.5263
H Pd C N Cl
16 2 4 2 6
Direct
0.0054 0.2979 0.0314 H
0.0059 0.8252 0.6797 H
0.0695 0.5803 0.8076 H
0.1748 0.9941 0.8203 H
0.2374 0.7555 0.5438 H
0.2445 0.7626 0.9562 H
0.2979 0.0054 0.5314 H
0.4197 0.9305 0.6924 H
0.5803 0.0695 0.3076 H
0.7021 0.9946 0.4686 H
0.7555 0.2374 0.0438 H
0.7626 0.2445 0.4562 H
0.8252 0.0059 0.1797 H
0.9305 0.4197 0.1924 H
0.9941 0.1748 0.3203 H
0.9946 0.7021 0.9686 H
0.5000 0.5000 0.0000 Pd
0.5000 0.5000 0.5000 Pd
0.1087 0.7161 0.8806 C
0.2839 0.8913 0.6194 C
0.7161 0.1087 0.3806 C
0.8913 0.2839 0.1194 C
0.1353 0.8647 0.7500 N
0.8647 0.1353 0.2500 N
0.1808 0.3117 0.5726 Cl
0.3117 0.1808 0.0726 Cl
0.3984 0.6016 0.2500 Cl
0.6016 0.3984 0.7500 Cl
0.6883 0.8192 0.9274 Cl
0.8192 0.6883 0.4274 Cl
```

Peak list (10 most intense, 10° ≤ 2θ ≤ 80°, by angle)
12.71 deg, I 100
13.12 deg, I 71
21.87 deg, I 11
22.59 deg, I 33
25.77 deg, I 15
27.13 deg, I 20
27.37 deg, I 26
33.75 deg, I 13
35.76 deg, I 17
54.52 deg, I 11